Entry 1:
Starting from a PBE-relaxed structure, the XRD peak list of AcNd3Mg4 was computed for copper Kα.

Main lines, by angle (2θ from 10° to 90°):
| 2theta | I (rel.) |
| --- | --- |
| 22.46 | 21 |
| 22.56 | 42 |
| 32.07 | 100 |
| 39.55 | 20 |
| 46.07 | 12 |
| 51.68 | 10 |
| 51.86 | 19 |
| 57.08 | 13 |
| 57.22 | 26 |
| 76.42 | 11 |

Cell and atoms:
Lattice parameters (Å, degrees): 11.1433 7.9178 5.5738 90.00 90.00 90.00
Atoms (fractional coordinates):
Ac  0.0000  0.0000  0.0000
Ac  0.5000  0.0000  0.0000
Nd  0.0000  0.5000  0.0000
Nd  0.2500  0.0000  0.4990
Nd  0.2500  0.5000  0.4990
Nd  0.5000  0.5000  0.0000
Nd  0.7500  0.0000  0.5010
Nd  0.7500  0.5000  0.5010
Mg  0.0000  0.2614  0.5000
Mg  0.0000  0.7386  0.5000
Mg  0.2500  0.2615  0.9988
Mg  0.2500  0.7385  0.9988
Mg  0.5000  0.2614  0.5000
Mg  0.5000  0.7386  0.5000
Mg  0.7500  0.2615  0.0012
Mg  0.7500  0.7385  0.0012

---

Entry 2:
Starting from a PBE-relaxed structure, the XRD peak list of AcNdMg10 was computed for copper Kα.

Main lines, by angle (2θ from 10° to 90°):
| 2theta | I (rel.) |
| --- | --- |
| 16.84 | 60 |
| 17.81 | 26 |
| 24.60 | 100 |
| 29.38 | 42 |
| 34.05 | 36 |
| 34.56 | 85 |
| 36.07 | 18 |
| 47.17 | 23 |
| 49.27 | 21 |
| 50.44 | 24 |

Cell and atoms:
Lattice parameters (Å, degrees): 4.9807 6.0915 10.5143 90.00 90.00 90.00
Atoms (fractional coordinates):
Ac  0.0000  0.0000  0.0000
Nd  0.0000  0.5000  0.5000
Mg  0.0000  0.0000  0.3388
Mg  0.0000  0.0000  0.6612
Mg  0.0000  0.5000  0.1740
Mg  0.0000  0.5000  0.8260
Mg  0.5000  0.0000  0.5000
Mg  0.5000  0.2524  0.2546
Mg  0.5000  0.2524  0.7454
Mg  0.5000  0.5000  0.0000
Mg  0.5000  0.7476  0.2546
Mg  0.5000  0.7476  0.7454

---

Entry 3:
Starting from a PBE-relaxed structure, the XRD peak list of Ac2Nd3Mg2 was computed for copper Kα.

Main lines, by angle (2θ from 10° to 90°):
| 2theta | I (rel.) |
| --- | --- |
| 21.32 | 29 |
| 23.11 | 51 |
| 24.27 | 40 |
| 29.67 | 100 |
| 31.66 | 81 |
| 32.89 | 75 |
| 37.96 | 30 |
| 53.11 | 50 |
| 56.83 | 33 |
| 57.58 | 31 |

Cell and atoms:
Lattice parameters (Å, degrees): 3.8852 33.3457 3.8444 90.00 90.00 90.00
Atoms (fractional coordinates):
Ac  0.0000  0.1993  0.0000
Ac  0.0000  0.8007  0.0000
Ac  0.5000  0.3007  0.0000
Ac  0.5000  0.6993  0.0000
Nd  0.0000  0.0732  0.0000
Nd  0.0000  0.5000  0.5000
Nd  0.0000  0.9268  0.0000
Nd  0.5000  0.0000  0.5000
Nd  0.5000  0.4268  0.0000
Nd  0.5000  0.5732  0.0000
Mg  0.0000  0.3686  0.5000
Mg  0.0000  0.6314  0.5000
Mg  0.5000  0.1314  0.5000
Mg  0.5000  0.8686  0.5000

---

Entry 4:
Starting from a PBE-relaxed structure, the XRD peak list of Ac8Nd4Mg was computed for copper Kα.

Main lines, by angle (2θ from 10° to 90°):
| 2theta | I (rel.) |
| --- | --- |
| 18.39 | 12 |
| 21.27 | 28 |
| 30.25 | 100 |
| 37.28 | 9 |
| 43.31 | 19 |
| 48.73 | 13 |
| 53.74 | 41 |
| 62.92 | 13 |
| 71.39 | 17 |
| 87.32 | 21 |

Cell and atoms:
Lattice parameters (Å, degrees): 8.3563 8.3563 8.3563 90.00 90.00 90.00
Atoms (fractional coordinates):
Ac  0.2449  0.2449  0.2449
Ac  0.2449  0.2449  0.7551
Ac  0.2449  0.7551  0.2449
Ac  0.2449  0.7551  0.7551
Ac  0.7551  0.2449  0.2449
Ac  0.7551  0.2449  0.7551
Ac  0.7551  0.7551  0.2449
Ac  0.7551  0.7551  0.7551
Nd  0.0000  0.0000  0.0000
Nd  0.0000  0.5000  0.5000
Nd  0.5000  0.0000  0.5000
Nd  0.5000  0.5000  0.0000
Mg  0.5000  0.5000  0.5000

---

Entry 5:
Starting from a PBE-relaxed structure, the XRD peak list of Ac6Nd12Mg was computed for copper Kα.

Main lines, by angle (2θ from 10° to 90°):
| 2theta | I (rel.) |
| --- | --- |
| 25.24 | 41 |
| 26.84 | 32 |
| 27.72 | 83 |
| 29.19 | 76 |
| 29.70 | 69 |
| 30.00 | 91 |
| 30.10 | 89 |
| 31.86 | 100 |
| 33.44 | 50 |
| 35.39 | 37 |

Cell and atoms:
Lattice parameters (Å, degrees): 9.6581 9.6581 9.6581 108.82 108.82 108.82
Atoms (fractional coordinates):
Ac  0.0433  0.2527  0.3221
Ac  0.2527  0.3221  0.0433
Ac  0.3221  0.0433  0.2527
Ac  0.6779  0.9567  0.7473
Ac  0.7473  0.6779  0.9567
Ac  0.9567  0.7473  0.6779
Nd  0.0075  0.8585  0.3597
Nd  0.1415  0.6403  0.9925
Nd  0.2428  0.6928  0.4212
Nd  0.3072  0.5788  0.7572
Nd  0.3597  0.0075  0.8585
Nd  0.4212  0.2428  0.6928
Nd  0.5788  0.7572  0.3072
Nd  0.6403  0.9925  0.1415
Nd  0.6928  0.4212  0.2428
Nd  0.7572  0.3072  0.5788
Nd  0.8585  0.3597  0.0075
Nd  0.9925  0.1415  0.6403
Mg  0.5000  0.5000  0.5000

---

Entry 6:
Starting from a PBE-relaxed structure, the XRD peak list of Ac2NdMg was computed for copper Kα.

Main lines, by angle (2θ from 10° to 90°):
| 2theta | I (rel.) |
| --- | --- |
| 18.75 | 13 |
| 22.24 | 20 |
| 24.17 | 15 |
| 29.25 | 100 |
| 31.66 | 43 |
| 38.03 | 10 |
| 45.38 | 16 |
| 50.29 | 19 |
| 54.91 | 35 |
| 60.65 | 11 |

Cell and atoms:
Lattice parameters (Å, degrees): 3.9969 3.9969 9.4654 90.00 90.00 90.00
Atoms (fractional coordinates):
Ac  0.0000  0.0000  0.2277
Ac  0.0000  0.0000  0.7723
Nd  0.5000  0.5000  0.5000
Mg  0.5000  0.5000  0.0000

---

Entry 7:
Starting from a PBE-relaxed structure, the XRD peak list of AcPr6Nd2Mg was computed for copper Kα.

Main lines, by angle (2θ from 10° to 90°):
| 2theta | I (rel.) |
| --- | --- |
| 21.00 | 22 |
| 27.19 | 56 |
| 28.29 | 38 |
| 28.49 | 26 |
| 29.20 | 100 |
| 30.01 | 26 |
| 30.16 | 84 |
| 31.70 | 51 |
| 57.28 | 21 |
| 59.47 | 22 |

Cell and atoms:
Lattice parameters (Å, degrees): 9.5826 9.5826 9.0056 90.07 90.07 119.61
Atoms (fractional coordinates):
Ac  0.0264  0.9736  0.7500
Ac  0.9736  0.0264  0.2500
Pr  0.0573  0.4703  0.2890
Pr  0.1530  0.7968  0.0420
Pr  0.2032  0.8470  0.4580
Pr  0.2522  0.5027  0.9088
Pr  0.4703  0.0573  0.7890
Pr  0.4973  0.7478  0.5912
Pr  0.5027  0.2522  0.4088
Pr  0.5297  0.9427  0.2110
Pr  0.7478  0.4973  0.0912
Pr  0.7968  0.1530  0.5420
Pr  0.8470  0.2032  0.9580
Pr  0.9427  0.5297  0.7110
Nd  0.2227  0.3440  0.5530
Nd  0.3440  0.2227  0.0530
Nd  0.6560  0.7773  0.9470
Nd  0.7773  0.6560  0.4470
Mg  0.4454  0.5546  0.2500
Mg  0.5546  0.4454  0.7500

---

Entry 8:
Starting from a PBE-relaxed structure, the XRD peak list of Ac3Mg4Ni4 was computed for copper Kα.

Main lines, by angle (2θ from 10° to 90°):
| 2theta | I (rel.) |
| --- | --- |
| 20.80 | 34 |
| 21.69 | 43 |
| 22.72 | 30 |
| 31.62 | 92 |
| 31.74 | 40 |
| 34.36 | 100 |
| 37.52 | 24 |
| 46.85 | 27 |
| 50.26 | 23 |
| 66.38 | 20 |

Cell and atoms:
Lattice parameters (Å, degrees): 8.7878 8.7878 8.7878 153.33 124.43 62.68
Atoms (fractional coordinates):
Ac  0.0000  0.0000  0.0000
Ac  0.3830  0.8830  0.5000
Ac  0.6170  0.1170  0.5000
Mg  0.0090  0.3229  0.6861
Mg  0.3632  0.6771  0.6861
Mg  0.6368  0.3229  0.3139
Mg  0.9910  0.6771  0.3139
Ni  0.2332  0.2332  0.0000
Ni  0.2939  0.5000  0.7939
Ni  0.7061  0.5000  0.2061
Ni  0.7668  0.7668  0.0000

---

Entry 9:
Starting from a PBE-relaxed structure, the XRD peak list of AcMg4Ni2 was computed for copper Kα.

Main lines, by angle (2θ from 10° to 90°):
| 2theta | I (rel.) |
| --- | --- |
| 14.87 | 65 |
| 23.95 | 36 |
| 30.01 | 32 |
| 32.13 | 100 |
| 33.65 | 32 |
| 38.75 | 30 |
| 49.77 | 17 |
| 56.29 | 15 |
| 59.22 | 22 |
| 63.59 | 17 |

Cell and atoms:
Lattice parameters (Å, degrees): 8.4226 8.4226 4.1397 90.00 90.00 90.00
Atoms (fractional coordinates):
Ac  0.0000  0.0000  0.0000
Ac  0.5000  0.5000  0.5000
Mg  0.0940  0.3370  0.5000
Mg  0.1630  0.5940  0.0000
Mg  0.3370  0.0940  0.5000
Mg  0.4060  0.8370  0.0000
Mg  0.5940  0.1630  0.0000
Mg  0.6630  0.9060  0.5000
Mg  0.8370  0.4060  0.0000
Mg  0.9060  0.6630  0.5000
Ni  0.2033  0.7967  0.5000
Ni  0.2967  0.2967  0.0000
Ni  0.7033  0.7033  0.0000
Ni  0.7967  0.2033  0.5000

---

Entry 10:
Starting from a PBE-relaxed structure, the XRD peak list of AcMg11Ni was computed for copper Kα.

Main lines, by angle (2θ from 10° to 90°):
| 2theta | I (rel.) |
| --- | --- |
| 12.14 | 100 |
| 18.08 | 64 |
| 24.42 | 36 |
| 24.56 | 38 |
| 25.06 | 33 |
| 27.35 | 45 |
| 30.15 | 43 |
| 34.78 | 75 |
| 35.94 | 40 |
| 36.62 | 34 |

Cell and atoms:
Lattice parameters (Å, degrees): 7.8160 7.8160 7.7438 96.97 96.97 137.64
Atoms (fractional coordinates):
Ac  0.0000  0.0000  0.0000
Mg  0.0000  0.0000  0.5000
Mg  0.0000  0.5000  0.0000
Mg  0.0181  0.3594  0.3642
Mg  0.2999  0.5071  0.7709
Mg  0.3594  0.0181  0.3642
Mg  0.4929  0.7001  0.2291
Mg  0.5000  0.0000  0.0000
Mg  0.5071  0.2999  0.7709
Mg  0.6406  0.9819  0.6358
Mg  0.7001  0.4929  0.2291
Mg  0.9819  0.6406  0.6358
Ni  0.5000  0.5000  0.5000

---

Entry 11:
Starting from a PBE-relaxed structure, the XRD peak list of Ac2MgNi3 was computed for copper Kα.

Main lines, by angle (2θ from 10° to 90°):
| 2theta | I (rel.) |
| --- | --- |
| 23.77 | 37 |
| 23.98 | 18 |
| 31.65 | 100 |
| 31.81 | 49 |
| 41.67 | 17 |
| 41.90 | 16 |
| 42.05 | 34 |
| 53.36 | 23 |
| 60.86 | 21 |
| 70.16 | 13 |

Cell and atoms:
Lattice parameters (Å, degrees): 8.5960 8.5846 6.1149 69.25 69.05 41.70
Atoms (fractional coordinates):
Ac  0.2336  0.7664  0.7664
Ac  0.2500  0.2500  0.2500
Ac  0.7500  0.7500  0.7500
Ac  0.7664  0.2336  0.2336
Mg  0.3376  0.3376  0.6624
Mg  0.6624  0.6624  0.3376
Ni  0.1589  0.6792  0.3208
Ni  0.1635  0.1635  0.8365
Ni  0.3208  0.8411  0.1589
Ni  0.6792  0.1589  0.8411
Ni  0.8365  0.8365  0.1635
Ni  0.8411  0.3208  0.6792

---

Entry 12:
Starting from a PBE-relaxed structure, the XRD peak list of AcMg3Ni8 was computed for copper Kα.

Main lines, by angle (2θ from 10° to 90°):
| 2theta | I (rel.) |
| --- | --- |
| 10.68 | 44 |
| 21.07 | 49 |
| 25.28 | 36 |
| 27.51 | 37 |
| 35.72 | 29 |
| 36.37 | 31 |
| 42.05 | 56 |
| 42.62 | 100 |
| 42.90 | 53 |
| 44.81 | 60 |

Cell and atoms:
Lattice parameters (Å, degrees): 8.7611 8.7611 8.7611 32.75 32.75 32.75
Atoms (fractional coordinates):
Ac  0.0000  0.0000  0.0000
Mg  0.3928  0.3928  0.3928
Mg  0.5056  0.5056  0.5056
Mg  0.8702  0.8702  0.8702
Ni  0.1877  0.1877  0.1877
Ni  0.4343  0.4343  0.9305
Ni  0.4343  0.9305  0.4343
Ni  0.4477  0.9398  0.9398
Ni  0.6904  0.6904  0.6904
Ni  0.9306  0.4343  0.4343
Ni  0.9398  0.4477  0.9398
Ni  0.9398  0.9398  0.4477